Starting from a cell relaxed with PBE, the X-ray powder pattern of Pu2CO was simulated for Cu Kα (λ = 1.5418 Å).

a b c (Å): 3.571 4.937 7.088
angles (deg): 90.00 90.00 90.00
Fractional positions:
Pu: 0.250 0.250 0.119
Pu: 0.250 0.250 0.620
Pu: 0.750 0.750 0.380
Pu: 0.750 0.750 0.881
C: 0.250 0.750 0.148
C: 0.750 0.250 0.852
O: 0.250 0.750 0.636
O: 0.750 0.250 0.364

Peak list (10 most intense, 10° ≤ 2θ ≤ 80°, by angle)
- (1 1 0), 30.9 deg, rel. 100
- (0 1 2), 31.1 deg, rel. 99
- (1 0 2), 35.7 deg, rel. 87
- (0 2 0), 36.4 deg, rel. 41
- (2 0 0), 51.2 deg, rel. 16
- (1 2 2), 51.9 deg, rel. 60
- (2 1 2), 61.1 deg, rel. 31
- (1 1 4), 61.4 deg, rel. 31
- (1 3 0), 62.1 deg, rel. 30
- (2 2 0), 64.4 deg, rel. 16